# Li3Cr3NiO8
Computed powder X-ray diffraction pattern, copper Kα. Input: DFT lattice parameters and positions (PBE+U).
Peak positions follow from Bragg's law for the DFT cell and can differ from measured ones.

Principal peaks in the range 2θ from 15° to 90°, sorted by position:
| d (Å) | I/Imax |
| --- | --- |
| 4.864 | 100 |
| 2.495 | 37 |
| 2.392 | 10 |
| 2.080 | 66 |
| 1.912 | 11 |
| 1.609 | 14 |
| 1.480 | 17 |
| 1.463 | 12 |
| 1.460 | 6 |
| 1.401 | 9 |

Cell and atoms:
```
Li3Cr3NiO8
1.0
5.0715 -2.9190 0.0000
5.0715 2.9190 0.0000
-3.3851 0.0000 4.8638
Li Cr Ni O
3 3 1 8
Direct
0.0000 0.0000 0.0000
0.0003 0.4997 0.0002
0.5003 0.9997 0.9998
0.4995 0.0020 0.5006
0.5020 0.4980 0.5000
0.9980 0.5005 0.4994
0.0009 0.9991 0.5000
0.2287 0.2289 0.7147
0.2290 0.7546 0.7126
0.2454 0.7710 0.2874
0.2566 0.2589 0.2726
0.7411 0.7434 0.7274
0.7583 0.2282 0.7148
0.7711 0.7713 0.2853
0.7718 0.2417 0.2852
```

=====

# Li2MgMn3O8
Computed powder X-ray diffraction pattern, copper Kα. Input: DFT lattice parameters and positions (PBE+U).
Peak positions follow from Bragg's law for the DFT cell and can differ from measured ones.

Principal peaks in the range 2θ from 15° to 90°, sorted by position:
| d (Å) | I/Imax |
| --- | --- |
| 4.907 | 100 |
| 4.782 | 77 |
| 2.544 | 12 |
| 2.509 | 27 |
| 2.492 | 35 |
| 2.084 | 92 |
| 1.617 | 17 |
| 1.488 | 27 |
| 1.460 | 27 |
| 1.399 | 12 |

Cell and atoms:
```
Li2MgMn3O8
1.0
2.9192 1.6854 4.9071
-2.9192 1.6854 4.9071
0.0000 -3.3708 4.9071
Li Mg Mn O
2 1 3 8
Direct
0.1158 0.1158 0.1158
0.8842 0.8842 0.8842
0.5000 0.5000 0.5000
0.0000 0.5000 0.5000
0.5000 0.0000 0.5000
0.5000 0.5000 0.0000
0.2538 0.2538 0.7085
0.2538 0.7085 0.2538
0.2633 0.2633 0.2633
0.2915 0.7462 0.7462
0.7085 0.2538 0.2538
0.7367 0.7367 0.7367
0.7462 0.2915 0.7462
0.7462 0.7462 0.2915
```

=====

# MgBe2Co4O8
Computed powder X-ray diffraction pattern, copper Kα. Input: DFT lattice parameters and positions (PBE+U).
Peak positions follow from Bragg's law for the DFT cell and can differ from measured ones.

Principal peaks in the range 2θ from 15° to 90°, sorted by position:
| d (Å) | I/Imax |
| --- | --- |
| 4.862 | 39 |
| 4.685 | 47 |
| 2.513 | 18 |
| 2.463 | 24 |
| 2.439 | 29 |
| 2.342 | 20 |
| 2.047 | 100 |
| 1.887 | 13 |
| 1.468 | 30 |
| 1.428 | 29 |

Cell and atoms:
```
MgBe2Co4O8
1.0
2.8561 1.6489 4.8615
-2.8561 1.6489 4.8615
0.0000 -3.2979 4.8615
Mg Be Co O
1 2 4 8
Direct
0.0000 0.0000 0.0000
0.1513 0.1513 0.1513
0.8487 0.8487 0.8487
0.0000 0.5000 0.5000
0.5000 0.0000 0.5000
0.5000 0.5000 0.0000
0.5000 0.5000 0.5000
0.2272 0.7521 0.7521
0.2479 0.2479 0.7728
0.2479 0.7728 0.2479
0.2579 0.2579 0.2579
0.7421 0.7421 0.7421
0.7521 0.2272 0.7521
0.7521 0.7521 0.2272
0.7728 0.2479 0.2479
```

=====

# MgCo6O2F10
Computed powder X-ray diffraction pattern, copper Kα. Input: DFT lattice parameters and positions (PBE+U).
Peak positions follow from Bragg's law for the DFT cell and can differ from measured ones.

Principal peaks in the range 2θ from 15° to 90°, sorted by position:
| d (Å) | I/Imax |
| --- | --- |
| 3.966 | 100 |
| 3.707 | 57 |
| 3.377 | 58 |
| 3.267 | 22 |
| 2.797 | 20 |
| 2.696 | 22 |
| 2.681 | 19 |
| 2.550 | 21 |
| 1.958 | 21 |
| 1.933 | 20 |

Cell and atoms:
```
MgCo6O2F10
1.0
5.1391 0.0000 0.0000
-0.8313 5.2303 0.0000
-0.2862 -0.7116 9.7945
Mg Co O F
1 6 2 10
Direct
0.0000 0.0000 0.0000
0.0295 0.5931 0.6444
0.4370 0.0480 0.4953
0.4795 0.1074 0.7847
0.5180 0.8783 0.2167
0.9501 0.4096 0.3500
0.9989 0.4996 0.9989
0.3304 0.8583 0.6520
0.6425 0.1510 0.3418
0.0766 0.2873 0.1477
0.1797 0.3116 0.5091
0.1916 0.2608 0.8835
0.2518 0.7144 0.3335
0.2967 0.8158 0.0394
0.7021 0.1814 0.9589
0.7256 0.2973 0.6648
0.8068 0.7384 0.1158
0.8211 0.6643 0.4812
0.9188 0.7137 0.8519
```

=====

Q: What is the formula in the third record?
A: MgBe2Co4O8

=====

Q: Which formula does entry 4 have?
A: MgCo6O2F10